[1]
For K2CaAs2O7, a crystal structure in the Materials Project, relaxed with GGA-PBE gives the simulated powder diffractogram in this record (Cu Kα X-rays).
Intensities are scaled so that the largest is 100.

Structural model:
abc: 9.371 5.932 14.919
angles: 90.00 105.94 90.00
Space group P2_1/c (No. 14)
Asymmetric unit:
K 0.033 0.246 0.114 [4 per cell]
K 0.466 0.233 0.664 [4 per cell]
Ca 0.266 0.228 0.363 [4 per cell]
As 0.176 0.740 0.198 [4 per cell]
As 0.315 0.707 0.528 [4 per cell]
O 0.007 0.234 0.306 [4 per cell]
O 0.163 0.699 0.074 [4 per cell]
O 0.261 0.508 0.729 [4 per cell]
O 0.273 0.511 0.251 [4 per cell]
O 0.275 0.070 0.001 [4 per cell]
O 0.285 0.630 0.931 [4 per cell]
O 0.475 0.748 0.112 [4 per cell]

Main lines, by angle (2θ = 5–70°):
d/Å, 2θ (°), I/Imax, (hkl)
4.985, 17.79, 16, 1 0 2
4.955, 17.90, 42, 1 1 0
4.571, 19.42, 16, 0 1 2
4.505, 19.70, 19, 2 0 0
3.279, 27.20, 25, 2 0 -4
3.139, 28.43, 62, 1 1 -4
3.089, 28.90, 27, 3 0 -2
2.963, 30.17, 100, 0 2 0
2.139, 42.24, 18, 3 2 -2
1.744, 52.48, 15, 1 3 -4

***

[2]
For Rb3Li, a crystal structure in the Materials Project, relaxed with GGA-PBE gives the simulated powder diffractogram in this record (Cu Kα X-rays).
Intensities are scaled so that the largest is 100.

Structural model:
abc: 6.567 6.567 12.921
angles: 90.00 90.00 90.00
Space group I4/mmm (No. 139)
Asymmetric unit:
Rb 0.000 0.000 0.000 [2 per cell]
Rb 0.000 0.500 0.250 [4 per cell]
Li 0.000 0.000 0.500 [2 per cell]

Main lines, by angle (2θ = 5–70°):
d/Å, 2θ (°), I/Imax, (hkl)
5.854, 15.13, 26, 1 0 1
3.770, 23.60, 100, 1 1 2
3.283, 27.16, 35, 2 0 0
3.230, 27.61, 17, 0 0 4
2.322, 38.79, 13, 2 2 0
2.303, 39.12, 26, 2 0 4
1.977, 45.90, 32, 3 1 2
1.953, 46.49, 17, 1 1 6
1.885, 48.27, 14, 2 2 4
1.495, 62.10, 14, 3 1 6

***

[3]
For Al2Cr3CuS8, a crystal structure in the Materials Project, relaxed with GGA-PBE gives the simulated powder diffractogram in this record (Cu Kα X-rays).
Intensities are scaled so that the largest is 100.

Structural model:
abc: 7.0551 7.0551 17.2636
angles: 90.00 90.00 120.00
Space group R3m (No. 160, hexagonal axes)
Asymmetric unit:
Al 0.0000 0.0000 0.0000 [3 per cell]
Al 0.0000 0.0000 0.3798 [3 per cell]
Cr 0.1717 0.3433 0.2068 [9 per cell]
Cu 0.0000 0.0000 0.7498 [3 per cell]
S 0.0000 0.0000 0.1327 [3 per cell]
S 0.0000 0.0000 0.6162 [3 per cell]
S 0.0212 0.5106 0.1277 [9 per cell]
S 0.1776 0.3552 0.9553 [9 per cell]

Main lines, by angle (2θ = 5–70°):
d/Å, 2θ (°), I/Imax, (hkl)
5.757, 15.39, 27, 0 0 3
3.526, 25.26, 31, 1 0 4
3.007, 29.71, 97, 0 2 1
2.879, 31.06, 8, 2 0 2
2.494, 36.02, 67, 0 2 4
2.036, 44.50, 12, 2 1 4
1.919, 47.36, 47, 0 2 7
1.763, 51.86, 100, 2 2 0
1.521, 60.90, 11, 4 0 1
1.440, 64.76, 12, 4 0 4

***

[4]
For ScBr2, a crystal structure in the Materials Project, relaxed with GGA-PBE gives the simulated powder diffractogram in this record (Cu Kα X-rays).
Intensities are scaled so that the largest is 100.

Structural model:
abc: 6.756 6.756 3.767
angles: 90.00 90.00 90.00
Space group P4_2/mnm (No. 136)
Asymmetric unit:
Sc 0.000 0.000 0.000 [2 per cell]
Br 0.209 0.209 0.500 [4 per cell]

Main lines, by angle (2θ = 5–70°):
d/Å, 2θ (°), I/Imax, (hkl)
4.777, 18.57, 23, 1 1 0
3.378, 26.39, 29, 2 0 0
3.021, 29.57, 28, 2 1 0
2.958, 30.21, 100, 1 1 1
2.389, 37.66, 33, 2 2 0
2.357, 38.18, 29, 2 1 1
1.933, 47.01, 30, 3 0 1
1.858, 49.02, 27, 3 1 1
1.639, 56.13, 13, 4 1 0
1.479, 62.83, 14, 2 2 2